No. 1
# HfMg6W
Theoretical powder diffraction line list, a wavelength of 1.5418 Å. Input: a PBE-relaxed structure.
Lines closer than 0.1° are merged.

Structural model:
```
HfMg6W
1.0
4.917 0.000 0.000
0.000 3.047 5.564
0.000 -3.047 5.564
Hf Mg W
1 6 1
direct
0.000 0.000 0.000
0.000 0.472 0.472
0.000 0.473 0.987
0.000 0.987 0.473
0.500 0.123 0.630
0.500 0.629 0.629
0.500 0.630 0.123
0.500 0.105 0.105
```

Principal peaks in the range 10° ≤ 2θ ≤ 80°, in order of rising 2θ:
15.93 deg, intensity 39; 16.59 deg, intensity 100; 33.54 deg, intensity 30; 33.65 deg, intensity 26; 36.55 deg, intensity 22; 37.13 deg, intensity 40; 38.34 deg, intensity 35; 40.38 deg, intensity 22; 47.24 deg, intensity 18; 50.44 deg, intensity 19

---

No. 2
# HfMg14W
Theoretical powder diffraction line list, a wavelength of 1.5418 Å. Input: a PBE-relaxed structure.
Lines closer than 0.1° are merged.

Structural model:
```
HfMg14W
1.0
6.307 0.000 0.000
-3.154 5.462 0.000
0.000 0.000 10.007
Hf Mg W
1 14 1
direct
0.000 0.000 0.000
0.006 0.503 0.000
0.160 0.319 0.259
0.160 0.319 0.741
0.160 0.840 0.259
0.160 0.840 0.741
0.497 0.503 0.000
0.497 0.994 0.000
0.500 0.001 0.500
0.500 0.500 0.500
0.667 0.333 0.246
0.667 0.333 0.754
0.681 0.840 0.259
0.681 0.840 0.741
0.999 0.500 0.500
0.000 0.000 0.500
```

Principal peaks in the range 10° ≤ 2θ ≤ 80°, in order of rising 2θ:
16.23 deg, intensity 93; 17.73 deg, intensity 24; 24.12 deg, intensity 67; 28.30 deg, intensity 24; 32.79 deg, intensity 35; 33.59 deg, intensity 31; 35.90 deg, intensity 24; 37.52 deg, intensity 100; 47.65 deg, intensity 26; 49.40 deg, intensity 22

---

No. 3
# YHfMg6
Theoretical powder diffraction line list, a wavelength of 1.5418 Å. Input: a PBE-relaxed structure.
Lines closer than 0.1° are merged.

Structural model:
```
YHfMg6
1.0
3.904 -4.895 0.000
3.904 4.895 0.000
0.000 0.000 4.890
Y Hf Mg
1 1 6
direct
0.000 0.000 0.000
0.500 0.500 0.000
0.000 0.500 0.000
0.255 0.745 0.500
0.260 0.260 0.500
0.500 0.000 0.000
0.740 0.740 0.500
0.745 0.255 0.500
```

Principal peaks in the range 10° ≤ 2θ ≤ 80°, in order of rising 2θ:
14.51 deg, intensity 17; 18.13 deg, intensity 64; 22.78 deg, intensity 19; 25.75 deg, intensity 28; 29.27 deg, intensity 41; 34.65 deg, intensity 100; 36.74 deg, intensity 43; 47.65 deg, intensity 21; 60.70 deg, intensity 19; 64.82 deg, intensity 31

---

No. 4
# YHfMg14
Theoretical powder diffraction line list, a wavelength of 1.5418 Å. Input: a PBE-relaxed structure.
Lines closer than 0.1° are merged.

Structural model:
```
YHfMg14
1.0
6.516 0.000 0.000
-3.258 5.643 0.000
0.000 0.000 10.251
Y Hf Mg
1 1 14
direct
0.000 0.000 0.000
0.000 0.000 0.500
0.002 0.501 0.500
0.006 0.503 0.000
0.167 0.333 0.256
0.167 0.333 0.744
0.167 0.833 0.256
0.167 0.833 0.744
0.497 0.503 0.000
0.497 0.994 0.000
0.499 0.501 0.500
0.499 0.998 0.500
0.667 0.333 0.248
0.667 0.333 0.752
0.667 0.833 0.256
0.667 0.833 0.744
```

Principal peaks in the range 10° ≤ 2θ ≤ 80°, in order of rising 2θ:
15.70 deg, intensity 58; 23.45 deg, intensity 46; 31.71 deg, intensity 31; 32.56 deg, intensity 20; 35.01 deg, intensity 24; 36.35 deg, intensity 100; 47.95 deg, intensity 20; 56.49 deg, intensity 17; 63.67 deg, intensity 18; 68.21 deg, intensity 19

---

No. 5
# YHfMg14
Theoretical powder diffraction line list, a wavelength of 1.5418 Å. Input: a PBE-relaxed structure.
Lines closer than 0.1° are merged.

Structural model:
```
YHfMg14
1.0
10.338 0.000 0.000
0.000 3.213 5.656
0.000 -3.213 5.656
Y Hf Mg
1 1 14
direct
0.000 0.000 0.000
0.000 0.498 0.498
0.000 0.002 0.501
0.000 0.501 0.002
0.248 0.666 0.666
0.252 0.171 0.664
0.252 0.664 0.171
0.253 0.169 0.169
0.500 0.000 0.501
0.500 0.001 0.001
0.500 0.501 0.000
0.500 0.501 0.501
0.747 0.169 0.169
0.748 0.171 0.664
0.748 0.664 0.171
0.752 0.666 0.666
```

Principal peaks in the range 10° ≤ 2θ ≤ 80°, in order of rising 2θ:
15.67 deg, intensity 30; 17.15 deg, intensity 24; 17.88 deg, intensity 44; 23.31 deg, intensity 24; 32.04 deg, intensity 30; 32.83 deg, intensity 20; 33.22 deg, intensity 20; 34.71 deg, intensity 37; 36.21 deg, intensity 50; 36.56 deg, intensity 100

---

No. 6
# YHfMg6
Theoretical powder diffraction line list, a wavelength of 1.5418 Å. Input: a PBE-relaxed structure.
Lines closer than 0.1° are merged.

Structural model:
```
YHfMg6
1.0
5.187 0.000 0.000
0.000 3.264 5.668
0.000 -3.264 5.668
Y Hf Mg
1 1 6
direct
0.000 0.000 0.000
0.500 0.832 0.832
0.000 0.503 0.503
0.000 0.511 0.996
0.000 0.996 0.511
0.500 0.333 0.333
0.500 0.338 0.834
0.500 0.834 0.338
```

Principal peaks in the range 10° ≤ 2θ ≤ 80°, in order of rising 2θ:
15.66 deg, intensity 86; 23.26 deg, intensity 53; 31.61 deg, intensity 27; 32.37 deg, intensity 33; 34.59 deg, intensity 25; 36.16 deg, intensity 100; 38.17 deg, intensity 19; 45.88 deg, intensity 19; 47.56 deg, intensity 17; 63.00 deg, intensity 19

---

No. 7
# HfMg14Zn
Theoretical powder diffraction line list, a wavelength of 1.5418 Å. Input: a PBE-relaxed structure.
Lines closer than 0.1° are merged.

Structural model:
```
HfMg14Zn
1.0
10.125 0.000 0.000
0.000 3.125 5.587
0.000 -3.125 5.587
Hf Mg Zn
1 14 1
direct
0.000 0.000 0.000
0.000 0.004 0.495
0.000 0.495 0.004
0.241 0.658 0.658
0.245 0.162 0.664
0.245 0.664 0.162
0.250 0.159 0.159
0.500 0.496 0.496
0.500 0.498 0.994
0.500 0.994 0.498
0.500 0.995 0.995
0.750 0.159 0.159
0.755 0.162 0.664
0.755 0.664 0.162
0.759 0.658 0.658
0.000 0.489 0.489
```

Principal peaks in the range 10° ≤ 2θ ≤ 80°, in order of rising 2θ:
15.86 deg, intensity 29; 17.52 deg, intensity 22; 18.14 deg, intensity 41; 18.48 deg, intensity 22; 23.72 deg, intensity 21; 32.84 deg, intensity 32; 35.46 deg, intensity 38; 36.75 deg, intensity 55; 37.46 deg, intensity 100; 69.52 deg, intensity 23

---

No. 8
# HfMg14Zn
Theoretical powder diffraction line list, a wavelength of 1.5418 Å. Input: a PBE-relaxed structure.
Lines closer than 0.1° are merged.

Structural model:
```
HfMg14Zn
1.0
6.363 0.000 0.000
-3.181 5.510 0.000
0.000 0.000 10.081
Hf Mg Zn
1 14 1
direct
0.000 0.000 0.000
0.007 0.503 0.000
0.162 0.323 0.253
0.162 0.323 0.747
0.162 0.838 0.253
0.162 0.838 0.747
0.497 0.503 0.000
0.497 0.993 0.000
0.501 0.002 0.500
0.501 0.499 0.500
0.667 0.333 0.246
0.667 0.333 0.754
0.677 0.838 0.253
0.677 0.838 0.747
0.998 0.499 0.500
0.000 0.000 0.500
```

Principal peaks in the range 10° ≤ 2θ ≤ 80°, in order of rising 2θ:
16.08 deg, intensity 55; 18.35 deg, intensity 21; 23.93 deg, intensity 39; 32.50 deg, intensity 31; 33.30 deg, intensity 18; 35.62 deg, intensity 24; 37.19 deg, intensity 100; 48.98 deg, intensity 19; 65.02 deg, intensity 18; 69.93 deg, intensity 19

---

No. 9
# HfMnN2
Theoretical powder diffraction line list, a wavelength of 1.5418 Å. Input: a PBE-relaxed structure.
Lines closer than 0.1° are merged.

Structural model:
```
HfMnN2
1.0
6.301 0.000 0.000
0.000 4.362 0.000
0.000 0.000 7.380
Hf Mn N
4 4 8
direct
0.098 0.250 0.128
0.402 0.750 0.628
0.598 0.250 0.372
0.902 0.750 0.872
0.069 0.250 0.629
0.431 0.750 0.129
0.569 0.250 0.871
0.931 0.750 0.371
0.068 0.750 0.628
0.085 0.750 0.116
0.415 0.250 0.616
0.432 0.250 0.128
0.568 0.750 0.872
0.585 0.750 0.384
0.915 0.250 0.884
0.932 0.250 0.372
```

Principal peaks in the range 10° ≤ 2θ ≤ 80°, in order of rising 2θ:
18.52 deg, intensity 33; 23.69 deg, intensity 34; 28.02 deg, intensity 59; 34.89 deg, intensity 100; 35.13 deg, intensity 59; 41.40 deg, intensity 36; 49.96 deg, intensity 37; 50.73 deg, intensity 22; 62.06 deg, intensity 24; 66.84 deg, intensity 32

---

No. 10
# HfMnN2
Theoretical powder diffraction line list, a wavelength of 1.5418 Å. Input: a PBE-relaxed structure.
Lines closer than 0.1° are merged.

Structural model:
```
HfMnN2
1.0
2.733 -1.573 0.000
2.733 1.573 0.000
-1.818 0.000 4.580
Hf Mn N
1 1 2
direct
0.000 0.000 0.000
0.500 0.500 0.500
0.243 0.243 0.730
0.757 0.757 0.270
```

Principal peaks in the range 10° ≤ 2θ ≤ 80°, in order of rising 2θ:
19.38 deg, intensity 46; 33.48 deg, intensity 40; 35.39 deg, intensity 100; 39.35 deg, intensity 25; 42.30 deg, intensity 95; 46.92 deg, intensity 17; 58.54 deg, intensity 23; 58.69 deg, intensity 12; 64.06 deg, intensity 26; 72.83 deg, intensity 17

---

No. 11
# Hf2MnOs
Theoretical powder diffraction line list, a wavelength of 1.5418 Å. Input: a PBE-relaxed structure.
Lines closer than 0.1° are merged.

Structural model:
```
Hf2MnOs
1.0
0.000 3.214 3.214
3.214 0.000 3.214
3.214 3.214 0.000
Hf Mn Os
2 1 1
direct
0.250 0.250 0.250
0.750 0.750 0.750
0.000 0.000 0.000
0.500 0.500 0.500
```

Principal peaks in the range 10° ≤ 2θ ≤ 80°, in order of rising 2θ:
23.98 deg, intensity 11; 27.76 deg, intensity 4; 39.66 deg, intensity 100; 46.88 deg, intensity 6; 49.10 deg, intensity 1; 57.34 deg, intensity 17; 63.04 deg, intensity 3; 64.87 deg, intensity 2; 71.97 deg, intensity 35; 77.10 deg, intensity 2

---

No. 12
# HfMnP
Theoretical powder diffraction line list, a wavelength of 1.5418 Å. Input: a PBE-relaxed structure.
Lines closer than 0.1° are merged.

Structural model:
```
HfMnP
1.0
6.392 0.000 0.000
0.000 3.595 0.000
0.000 0.000 7.461
Hf Mn P
4 4 4
direct
0.032 0.250 0.175
0.468 0.750 0.675
0.532 0.250 0.325
0.968 0.750 0.825
0.136 0.250 0.560
0.364 0.750 0.060
0.636 0.250 0.940
0.864 0.750 0.440
0.233 0.750 0.372
0.267 0.250 0.872
0.733 0.750 0.128
0.767 0.250 0.628
```

Principal peaks in the range 10° ≤ 2θ ≤ 80°, in order of rising 2θ:
27.54 deg, intensity 50; 27.92 deg, intensity 29; 37.04 deg, intensity 18; 37.48 deg, intensity 100; 37.66 deg, intensity 24; 38.85 deg, intensity 54; 39.62 deg, intensity 86; 44.24 deg, intensity 25; 50.80 deg, intensity 25; 65.74 deg, intensity 23